Starting from the GGA-PBE geometry in Alexandria, the X-ray powder pattern of LiLaP4O12 was computed for a wavelength of 1.5418 Å.

Top 10 peaks for 10 to 90 degrees two-theta, in order of rising 2θ:
13.12°, I = 36; 15.11°, I = 36; 20.06°, I = 100; 22.07°, I = 79; 22.55°, I = 28; 27.05°, I = 43; 29.41°, I = 28; 30.54°, I = 38; 31.96°, I = 57; 33.32°, I = 21

Atomic structure:
```
36
Lattice="8.4079 -3.6123 0.0000 8.4079 3.6123 0.0000 -5.9915 0.0000 8.0568" Properties=species:S:1:pos:R:3 pbc="T T T"
Li 3.9143 2.1644 6.0426
Li 6.9101 -2.1644 2.0142
La 6.9101 1.4471 2.0142
La 3.9143 -1.4471 6.0426
P -1.3392 0.4174 4.9416
P 1.1153 1.1644 6.4474
P 1.6566 -0.4174 0.9131
P 6.7132 1.1644 5.6378
P 4.1111 -1.1644 2.4190
P 9.1677 0.4174 7.1437
P 9.7090 -1.1644 1.6094
P 12.1635 -0.4174 3.1153
O 1.3227 0.8496 1.8475
O -1.4353 0.0630 3.4758
O -4.4310 -0.0630 7.5043
O 4.5718 2.0552 2.5861
O 0.2354 0.6491 5.2126
O 0.4840 0.8316 7.7661
O -1.6731 -0.8496 5.8759
O 2.5347 0.7376 6.1797
O 9.2483 2.0552 1.4423
O 3.2312 -0.6491 1.1842
O 5.2938 0.7376 5.9056
O 3.4798 -0.8316 3.7377
O 7.3445 0.8316 4.3191
O 5.5305 -0.7376 2.1512
O 7.5931 0.6491 6.8726
O 1.5760 -2.0552 6.6145
O 8.2896 -0.7376 1.8772
O 12.4974 0.8496 2.1809
O 10.3403 -0.8316 0.2907
O 10.5889 -0.6491 2.8442
O 6.2526 -2.0552 5.4707
O 15.2554 0.0630 0.5526
O 12.2596 -0.0630 4.5810
O 9.5017 -0.8496 6.2094
```



Starting from the GGA-PBE geometry in Alexandria, the X-ray powder pattern of ReTe4Mo was computed for a wavelength of 1.5418 Å.

Top 10 peaks for 10 to 90 degrees two-theta, in order of rising 2θ:
11.81°, I = 83; 28.57°, I = 14; 29.70°, I = 9; 33.21°, I = 100; 40.34°, I = 16; 41.42°, I = 12; 44.69°, I = 25; 50.50°, I = 15; 53.37°, I = 10; 64.31°, I = 9

Atomic structure:
```
12
Lattice="15.3092 0.0000 0.0000 0.0000 3.4333 0.0000 -1.2954 0.0000 6.2579" Properties=species:S:1:pos:R:3 pbc="T T T"
Re 0.0000 0.0000 0.0000
Re 7.6546 1.7166 0.0000
Te 0.9126 0.0000 2.6351
Te 0.7715 1.7166 5.9406
Te 4.6466 1.7166 4.2064
Te 5.8394 0.0000 1.1929
Te 8.5672 1.7166 2.6351
Te 8.4261 0.0000 5.9406
Te 12.3012 0.0000 4.2064
Te 13.4941 1.7166 1.1929
Mo 6.7212 0.0000 3.8792
Mo 14.3758 1.7166 3.8792
```